1.
Computed powder XRD pattern of NdSn3Ru for copper Kα, from DFT lattice parameters and positions (PBE).
Lines closer than 0.1° are merged.

Structure:
Cell: 9.826 9.826 9.826 Å, 90.00 90.00 90.00°
Space group Pm-3n (No. 223)
Asymmetric unit:
Nd1 0.000 0.000 0.000 x2
Nd2 0.000 0.250 0.500 x6
Sn1 0.000 0.312 0.157 x24
Ru1 0.250 0.250 0.250 x8

Largest 6 diffraction maxima, by angle, 10° ≤ 2θ ≤ 90°:
32.86 deg, intensity 100, (3 2 0)
34.14 deg, intensity 42, (3 2 1)
36.58 deg, intensity 21, (4 0 0)
45.21 deg, intensity 22, (4 2 2)
57.85 deg, intensity 17, (5 3 2)
62.72 deg, intensity 14, (6 2 2)


2.
Computed powder XRD pattern of Nd5S9 for copper Kα, from DFT lattice parameters and positions (PBE).
Lines closer than 0.1° are merged.

Structure:
Cell: 23.631 5.526 9.929 Å, 90.00 98.30 90.00°
Space group C2 (No. 5)
Asymmetric unit:
Nd1 0.007 0.000 0.235 x4
Nd2 0.095 0.491 0.959 x4
Nd3 0.105 0.503 0.428 x4
Nd4 0.199 0.002 0.152 x4
Nd5 0.204 0.016 0.632 x4
S1 0.000 0.251 0.500 x2
S2 0.000 0.752 0.500 x2
S3 0.024 0.501 0.179 x4
S4 0.076 0.994 0.013 x4
S5 0.087 0.251 0.673 x4
S6 0.125 0.001 0.375 x4
S7 0.178 0.500 0.214 x4
S8 0.189 0.754 0.876 x4
S9 0.195 0.250 0.888 x4
S10 0.220 0.515 0.578 x4

Largest 6 diffraction maxima, by angle, 10° ≤ 2θ ≤ 90°:
21.89 deg, intensity 33, (4 0 -2)
24.95 deg, intensity 100, (5 1 0)
38.51 deg, intensity 31, (10 0 0)
39.44 deg, intensity 31, (4 2 -2)
40.31 deg, intensity 45, (9 1 -2)
45.66 deg, intensity 28, (6 2 2)


3.
Computed powder XRD pattern of Nd3S4 for copper Kα, from DFT lattice parameters and positions (PBE).
Lines closer than 0.1° are merged.

Structure:
Cell: 8.584 8.584 8.584 Å, 90.00 90.00 90.00°
Space group I-43d (No. 220)
Asymmetric unit:
Nd1 0.000 0.250 0.375 x12
S1 0.074 0.074 0.074 x16

Largest 6 diffraction maxima, by angle, 10° ≤ 2θ ≤ 90°:
25.42 deg, intensity 100, (2 1 1)
33.00 deg, intensity 94, (3 1 0)
39.27 deg, intensity 58, (3 2 1)
47.36 deg, intensity 40, (4 2 0)
54.51 deg, intensity 31, (4 3 1)
67.23 deg, intensity 36, (6 1 1)


4.
Computed powder XRD pattern of NdS3 for copper Kα, from DFT lattice parameters and positions (PBE).
Lines closer than 0.1° are merged.

Structure:
Cell: 5.7534 5.7534 5.6637 Å, 90.00 90.00 120.00°
Space group P6_3/mmc (No. 194)
Asymmetric unit:
Nd1 0.3333 0.6667 0.2500 x2
S1 0.1763 0.3525 0.7500 x6

Largest 6 diffraction maxima, by angle, 10° ≤ 2θ ≤ 90°:
17.80 deg, intensity 33, (1 0 0)
23.78 deg, intensity 71, (1 0 1)
31.09 deg, intensity 28, (1 1 0)
31.59 deg, intensity 43, (0 0 2)
39.52 deg, intensity 100, (2 0 1)
61.64 deg, intensity 26, (2 0 3)


5.
Computed powder XRD pattern of NdS for copper Kα, from DFT lattice parameters and positions (PBE).
Lines closer than 0.1° are merged.

Structure:
Cell: 5.754 5.754 5.754 Å, 90.00 90.00 90.00°
Space group Fm-3m (No. 225)
Asymmetric unit:
Nd1 0.000 0.000 0.000 x4
S1 0.000 0.000 0.500 x4

Largest 6 diffraction maxima, by angle, 10° ≤ 2θ ≤ 90°:
26.84 deg, intensity 74, (1 1 1)
31.09 deg, intensity 100, (2 0 0)
44.54 deg, intensity 72, (2 2 0)
52.77 deg, intensity 37, (3 1 1)
55.31 deg, intensity 25, (2 2 2)
73.62 deg, intensity 32, (4 2 0)


6.
Computed powder XRD pattern of Nd10S19 for copper Kα, from DFT lattice parameters and positions (PBE).
Lines closer than 0.1° are merged.

Structure:
Cell: 8.964 8.964 16.238 Å, 90.00 90.00 90.00°
Space group P4_2/n (No. 86, origin choice 2)
Asymmetric unit:
Nd1 0.041 0.348 0.122 x8
Nd2 0.055 0.355 0.603 x8
Nd3 0.250 0.750 0.115 x4
S1 0.030 0.804 0.249 x8
S2 0.049 0.348 0.426 x8
S3 0.053 0.352 0.938 x8
S4 0.077 0.889 0.750 x8
S5 0.250 0.250 0.250 x2
S6 0.250 0.750 0.434 x4

Largest 6 diffraction maxima, by angle, 10° ≤ 2θ ≤ 90°:
21.89 deg, intensity 29, (0 0 4)
24.77 deg, intensity 100, (1 2 2)
31.56 deg, intensity 47, (3 1 0)
38.74 deg, intensity 60, (3 1 4)
40.20 deg, intensity 41, (1 2 6)
45.24 deg, intensity 28, (2 4 0)